The following is a simulated PXRD pattern of YHoCdPd. It was derived from the PBE geometry in Alexandria, using Cu Ka.
Peak positions follow from Bragg's law for the DFT cell and can differ from measured ones.

Most intense lines, 10° ≤ 2θ ≤ 80°, low angle first:
2θ/deg, I_rel
12.0, 10
27.6, 5
34.9, 100
35.3, 51
37.4, 3
44.7, 4
49.6, 8
50.8, 18
62.3, 16
63.1, 35
73.7, 9
74.7, 5

Cell: 3.595 3.595 7.359 Å, 90.00 90.00 90.00°
Atoms (fractional coordinates):
Y (0.000, 0.000, 0.000)
Ho (0.000, 0.000, 0.545)
Cd (0.500, 0.500, 0.275)
Pd (0.500, 0.500, 0.765)

***

The following is a simulated PXRD pattern of Pm6HoCd2. It was derived from the PBE geometry in Alexandria, using Cu Ka.
Peak positions follow from Bragg's law for the DFT cell and can differ from measured ones.

Most intense lines, 10° ≤ 2θ ≤ 80°, low angle first:
2θ/deg, I_rel
29.9, 58
30.7, 51
31.9, 54
32.3, 100
37.2, 36
38.8, 25
49.8, 15
50.3, 15
55.6, 16
56.6, 18
58.5, 18
67.6, 14

Cell: 9.737 9.737 6.210 Å, 94.49 94.49 73.36°
Atoms (fractional coordinates):
Pm (0.071, 0.816, 0.991)
Pm (0.149, 0.404, 0.163)
Pm (0.184, 0.929, 0.509)
Pm (0.232, 0.533, 0.686)
Pm (0.404, 0.149, 0.663)
Pm (0.467, 0.768, 0.814)
Pm (0.533, 0.232, 0.186)
Pm (0.596, 0.851, 0.337)
Pm (0.768, 0.467, 0.314)
Pm (0.816, 0.071, 0.491)
Pm (0.851, 0.596, 0.837)
Pm (0.929, 0.184, 0.009)
Ho (0.399, 0.601, 0.250)
Ho (0.601, 0.399, 0.750)
Cd (0.042, 0.287, 0.592)
Cd (0.287, 0.042, 0.092)
Cd (0.713, 0.958, 0.908)
Cd (0.958, 0.713, 0.408)

***

The following is a simulated PXRD pattern of Pm3Ho3Cd. It was derived from the PBE geometry in Alexandria, using Cu Ka.
Peak positions follow from Bragg's law for the DFT cell and can differ from measured ones.

Most intense lines, 10° ≤ 2θ ≤ 80°, low angle first:
2θ/deg, I_rel
28.7, 24
32.2, 24
33.0, 100
43.7, 16
50.9, 19
57.9, 20
59.5, 3
61.5, 21
62.1, 15
67.3, 3
69.3, 4
74.8, 3

Cell: 9.487 9.487 5.564 Å, 90.00 90.00 120.00°
Atoms (fractional coordinates):
Pm (0.107, 0.632, 0.250)
Pm (0.368, 0.475, 0.250)
Pm (0.475, 0.107, 0.750)
Pm (0.525, 0.893, 0.250)
Pm (0.632, 0.525, 0.750)
Pm (0.893, 0.368, 0.750)
Ho (0.058, 0.821, 0.750)
Ho (0.179, 0.237, 0.750)
Ho (0.237, 0.058, 0.250)
Ho (0.763, 0.942, 0.750)
Ho (0.821, 0.763, 0.250)
Ho (0.942, 0.179, 0.250)
Cd (0.333, 0.667, 0.750)
Cd (0.667, 0.333, 0.250)

***

The following is a simulated PXRD pattern of Pr3HoCd4. It was derived from the PBE geometry in Alexandria, using Cu Ka.
Peak positions follow from Bragg's law for the DFT cell and can differ from measured ones.

Most intense lines, 10° ≤ 2θ ≤ 80°, low angle first:
2θ/deg, I_rel
23.3, 2
32.8, 100
33.2, 50
46.6, 9
47.6, 18
58.4, 17
59.0, 36
68.8, 10
69.6, 6
77.7, 6
79.1, 8
79.3, 8

Cell: 3.820 3.820 15.585 Å, 90.00 90.00 90.00°
Atoms (fractional coordinates):
Pr (0.000, 0.000, 0.000)
Pr (0.000, 0.000, 0.256)
Pr (0.000, 0.000, 0.744)
Ho (0.000, 0.000, 0.500)
Cd (0.500, 0.500, 0.127)
Cd (0.500, 0.500, 0.388)
Cd (0.500, 0.500, 0.612)
Cd (0.500, 0.500, 0.873)

***

The following is a simulated PXRD pattern of Pr5Ho4Cd. It was derived from the PBE geometry in Alexandria, using Cu Ka.
Peak positions follow from Bragg's law for the DFT cell and can differ from measured ones.

Most intense lines, 10° ≤ 2θ ≤ 80°, low angle first:
2θ/deg, I_rel
28.4, 3
30.5, 100
32.9, 3
34.7, 37
36.7, 13
49.9, 13
51.4, 20
58.5, 4
59.6, 30
62.3, 9
63.5, 11
73.2, 4

Cell: 3.658 3.658 24.485 Å, 90.00 90.00 90.00°
Atoms (fractional coordinates):
Pr (0.000, 0.000, 0.000)
Pr (0.000, 0.000, 0.205)
Pr (0.000, 0.000, 0.412)
Pr (0.000, 0.000, 0.588)
Pr (0.000, 0.000, 0.795)
Ho (0.500, 0.500, 0.103)
Ho (0.500, 0.500, 0.308)
Ho (0.500, 0.500, 0.692)
Ho (0.500, 0.500, 0.897)
Cd (0.500, 0.500, 0.500)

***

The following is a simulated PXRD pattern of Pr2Ho3Cd3. It was derived from the PBE geometry in Alexandria, using Cu Ka.
Peak positions follow from Bragg's law for the DFT cell and can differ from measured ones.

Most intense lines, 10° ≤ 2θ ≤ 80°, low angle first:
2θ/deg, I_rel
27.2, 1
32.0, 100
36.3, 37
38.8, 14
47.0, 1
52.2, 13
54.2, 21
56.1, 2
62.6, 29
66.1, 10
67.0, 11
77.0, 5

Cell: 4.952 4.953 9.273 Å, 90.00 90.00 90.00°
Atoms (fractional coordinates):
Pr (0.000, 0.000, 0.245)
Pr (0.000, 0.000, 0.755)
Ho (0.500, 0.000, 0.500)
Ho (0.500, 0.500, 0.228)
Ho (0.500, 0.500, 0.772)
Cd (0.000, 0.500, 0.000)
Cd (0.000, 0.500, 0.500)
Cd (0.500, 0.000, 0.000)